Entry 1:
PrSbO3: computed powder diffraction line list (λ = 1.5418 Å (Cu Kα)), based on a DFT-relaxed cell (PBE, Alexandria).
No peak broadening, texture or thermal motion is included.

Cell lengths 7.161, 6.792, 7.474 Å; angles 90.00, 97.45, 90.00 degrees
Atoms (fractional coordinates):
Pr 0.149 0.166 0.149
Pr 0.149 0.334 0.649
Pr 0.851 0.666 0.351
Pr 0.851 0.834 0.851
Sb 0.404 0.706 0.049
Sb 0.404 0.794 0.549
Sb 0.596 0.206 0.451
Sb 0.596 0.294 0.951
O 0.028 0.118 0.837
O 0.028 0.382 0.337
O 0.328 0.075 0.460
O 0.328 0.425 0.960
O 0.494 0.151 0.176
O 0.494 0.349 0.676
O 0.506 0.651 0.324
O 0.506 0.849 0.824
O 0.672 0.575 0.040
O 0.672 0.925 0.540
O 0.972 0.618 0.663
O 0.972 0.882 0.163

Peak list (10 most intense, 2θ = 15–90°, sorted by position)
2θ (°), d (Å), Rel. int.
20.79, 4.272, 46.2
26.24, 3.396, 34.4
28.37, 3.146, 100.0
28.58, 3.123, 62.0
28.88, 3.092, 93.6
39.19, 2.299, 23.4
43.22, 2.093, 23.7
47.10, 1.929, 20.2
50.18, 1.818, 39.9
51.11, 1.787, 25.5

Entry 2:
Pr3Sb5O12: computed powder diffraction line list (λ = 1.5418 Å (Cu Kα)), based on a DFT-relaxed cell (PBE, Alexandria).
No peak broadening, texture or thermal motion is included.

Cell lengths 9.703, 9.703, 9.703 Å; angles 109.47, 109.47, 109.47 degrees
Atoms (fractional coordinates):
Pr 0.250 0.500 0.750
Pr 0.250 0.750 0.500
Pr 0.500 0.250 0.750
Pr 0.500 0.750 0.250
Pr 0.750 0.250 0.500
Pr 0.750 0.500 0.250
Sb 0.000 0.000 0.504
Sb 0.000 0.281 0.281
Sb 0.000 0.504 0.000
Sb 0.000 0.719 0.719
Sb 0.281 0.000 0.281
Sb 0.281 0.281 0.000
Sb 0.496 0.496 0.496
Sb 0.504 0.000 0.000
Sb 0.719 0.000 0.719
Sb 0.719 0.719 0.000
O 0.000 0.197 0.471
O 0.000 0.471 0.197
O 0.000 0.511 0.708
O 0.000 0.708 0.511
O 0.197 0.000 0.471
O 0.197 0.471 0.000
O 0.197 0.489 0.489
O 0.274 0.803 0.803
O 0.292 0.292 0.803
O 0.292 0.803 0.292
O 0.471 0.000 0.197
O 0.471 0.197 0.000
O 0.489 0.197 0.489
O 0.489 0.489 0.197
O 0.511 0.000 0.708
O 0.511 0.708 0.000
O 0.529 0.529 0.726
O 0.529 0.726 0.529
O 0.708 0.000 0.511
O 0.708 0.511 0.000
O 0.726 0.529 0.529
O 0.803 0.274 0.803
O 0.803 0.292 0.292
O 0.803 0.803 0.274

Peak list (10 most intense, 2θ = 15–90°, sorted by position)
2θ (°), d (Å), Rel. int.
27.58, 3.234, 100.0
31.95, 2.801, 34.8
45.81, 1.981, 43.4
54.31, 1.689, 39.5
56.94, 1.617, 9.1
60.74, 1.525, 3.8
66.80, 1.401, 5.6
73.72, 1.285, 13.5
75.96, 1.253, 11.5
84.78, 1.144, 9.4

Entry 3:
PrSb2O6: computed powder diffraction line list (λ = 1.5418 Å (Cu Kα)), based on a DFT-relaxed cell (PBE, Alexandria).
No peak broadening, texture or thermal motion is included.

Cell lengths 8.050, 5.825, 5.592 Å; angles 90.00, 90.00, 90.00 degrees
Atoms (fractional coordinates):
Pr 0.000 0.182 0.000
Pr 0.500 0.818 0.500
Sb 0.249 0.736 0.987
Sb 0.251 0.264 0.487
Sb 0.749 0.264 0.487
Sb 0.751 0.736 0.987
O 0.000 0.268 0.581
O 0.000 0.772 0.918
O 0.200 0.447 0.181
O 0.216 0.977 0.258
O 0.284 0.023 0.758
O 0.300 0.553 0.681
O 0.500 0.228 0.418
O 0.500 0.732 0.081
O 0.700 0.553 0.681
O 0.716 0.023 0.758
O 0.784 0.977 0.258
O 0.800 0.447 0.181

Peak list (10 most intense, 2θ = 15–90°, sorted by position)
2θ (°), d (Å), Rel. int.
18.80, 4.719, 26.6
19.33, 4.593, 32.1
22.05, 4.031, 29.9
30.70, 2.913, 21.8
31.40, 2.849, 100.0
32.01, 2.796, 24.6
44.94, 2.017, 25.1
45.05, 2.013, 15.9
56.67, 1.624, 22.7
65.52, 1.425, 13.7

Entry 4:
Pr9Sb5O5: computed powder diffraction line list (λ = 1.5418 Å (Cu Kα)), based on a DFT-relaxed cell (PBE, Alexandria).
No peak broadening, texture or thermal motion is included.

Cell lengths 10.335, 10.335, 9.322 Å; angles 90.00, 90.00, 90.00 degrees
Atoms (fractional coordinates):
Pr 0.023 0.331 0.001
Pr 0.046 0.854 0.655
Pr 0.146 0.546 0.345
Pr 0.169 0.023 0.001
Pr 0.250 0.250 0.668
Pr 0.331 0.477 0.001
Pr 0.354 0.954 0.345
Pr 0.454 0.646 0.655
Pr 0.477 0.169 0.001
Pr 0.523 0.831 0.999
Pr 0.546 0.354 0.345
Pr 0.646 0.046 0.655
Pr 0.669 0.523 0.999
Pr 0.750 0.750 0.332
Pr 0.831 0.977 0.999
Pr 0.854 0.454 0.655
Pr 0.954 0.146 0.345
Pr 0.977 0.669 0.999
Sb 0.053 0.847 0.300
Sb 0.153 0.553 0.700
Sb 0.250 0.250 0.315
Sb 0.347 0.947 0.700
Sb 0.447 0.653 0.300
Sb 0.553 0.347 0.700
Sb 0.653 0.053 0.300
Sb 0.750 0.750 0.685
Sb 0.847 0.447 0.300
Sb 0.947 0.153 0.700
O 0.025 0.871 0.910
O 0.129 0.525 0.090
O 0.250 0.250 0.933
O 0.371 0.975 0.090
O 0.475 0.629 0.910
O 0.525 0.371 0.090
O 0.629 0.025 0.910
O 0.750 0.750 0.067
O 0.871 0.475 0.910
O 0.975 0.129 0.090

Peak list (10 most intense, 2θ = 15–90°, sorted by position)
2θ (°), d (Å), Rel. int.
27.29, 3.268, 43.9
28.73, 3.107, 69.8
28.95, 3.084, 100.0
33.49, 2.676, 95.9
38.97, 2.311, 66.5
40.04, 2.252, 20.9
49.13, 1.854, 55.2
56.30, 1.634, 19.8
56.86, 1.619, 23.8
64.42, 1.446, 21.3

Entry 5:
PrSm2SbO8: computed powder diffraction line list (λ = 1.5418 Å (Cu Kα)), based on a DFT-relaxed cell (PBE, Alexandria).
No peak broadening, texture or thermal motion is included.

Cell lengths 4.214, 7.486, 5.343 Å; angles 90.00, 93.92, 90.00 degrees
Atoms (fractional coordinates):
Pr 0.000 0.000 0.000
Sm 0.500 0.256 0.500
Sm 0.500 0.744 0.500
Sb 0.000 0.500 0.000
O 0.047 0.291 0.757
O 0.047 0.709 0.757
O 0.424 0.500 0.198
O 0.495 0.000 0.253
O 0.505 0.000 0.747
O 0.576 0.500 0.802
O 0.953 0.291 0.243
O 0.953 0.709 0.243

Peak list (10 most intense, 2θ = 15–90°, sorted by position)
2θ (°), d (Å), Rel. int.
26.08, 3.416, 62.4
27.91, 3.196, 54.1
29.15, 3.063, 100.0
32.02, 2.796, 46.6
33.63, 2.665, 20.0
43.03, 2.102, 23.5
45.97, 1.974, 40.0
48.24, 1.887, 32.6
51.77, 1.766, 20.1
53.86, 1.702, 17.5

Entry 6:
Sr2Pr4Sb3O2: computed powder diffraction line list (λ = 1.5418 Å (Cu Kα)), based on a DFT-relaxed cell (PBE, Alexandria).
No peak broadening, texture or thermal motion is included.

Cell lengths 13.562, 13.562, 13.562 Å; angles 159.15, 159.15, 29.65 degrees
Atoms (fractional coordinates):
Sr 0.196 0.196 0.000
Sr 0.804 0.804 0.000
Pr 0.081 0.581 0.500
Pr 0.419 0.919 0.500
Pr 0.581 0.081 0.500
Pr 0.919 0.419 0.500
Sb 0.327 0.327 0.000
Sb 0.500 0.500 0.000
Sb 0.673 0.673 0.000
O 0.099 0.099 0.000
O 0.901 0.901 0.000

Peak list (10 most intense, 2θ = 15–90°, sorted by position)
2θ (°), d (Å), Rel. int.
26.57, 3.355, 35.6
27.21, 3.278, 13.2
29.11, 3.067, 12.7
30.01, 2.978, 13.4
32.96, 2.718, 100.0
36.62, 2.454, 51.4
46.21, 1.964, 12.5
52.76, 1.735, 17.7
56.38, 1.632, 15.1
63.62, 1.463, 29.9

Entry 7:
PrTmSb2O8: computed powder diffraction line list (λ = 1.5418 Å (Cu Kα)), based on a DFT-relaxed cell (PBE, Alexandria).
No peak broadening, texture or thermal motion is included.

Cell lengths 6.817, 6.817, 6.817 Å; angles 134.11, 134.11, 66.91 degrees
Atoms (fractional coordinates):
Pr 0.000 0.000 0.000
Tm 0.250 0.750 0.500
Sb 0.500 0.500 0.000
Sb 0.750 0.250 0.500
O 0.022 0.083 0.435
O 0.240 0.663 0.084
O 0.337 0.422 0.577
O 0.414 0.978 0.062
O 0.578 0.155 0.916
O 0.648 0.586 0.565
O 0.845 0.760 0.423
O 0.917 0.352 0.938

Peak list (10 most intense, 2θ = 15–90°, sorted by position)
2θ (°), d (Å), Rel. int.
28.47, 3.136, 100.0
31.46, 2.844, 14.0
33.73, 2.658, 20.6
46.79, 1.942, 31.2
48.44, 1.879, 14.8
54.18, 1.693, 16.6
57.15, 1.612, 28.2
58.91, 1.568, 11.1
75.61, 1.258, 12.2
89.34, 1.097, 8.6

Entry 8:
PrZrSbO6: computed powder diffraction line list (λ = 1.5418 Å (Cu Kα)), based on a DFT-relaxed cell (PBE, Alexandria).
No peak broadening, texture or thermal motion is included.

Cell lengths 5.469, 5.469, 10.215 Å; angles 90.00, 90.00, 120.00 degrees
Atoms (fractional coordinates):
Pr 0.000 0.000 0.000
Pr 0.000 0.000 0.500
Zr 0.333 0.667 0.250
Zr 0.667 0.333 0.750
Sb 0.333 0.667 0.750
Sb 0.667 0.333 0.250
O 0.016 0.371 0.641
O 0.016 0.644 0.859
O 0.356 0.371 0.859
O 0.356 0.984 0.641
O 0.371 0.016 0.141
O 0.371 0.356 0.359
O 0.629 0.644 0.641
O 0.629 0.984 0.859
O 0.644 0.016 0.359
O 0.644 0.629 0.141
O 0.984 0.356 0.141
O 0.984 0.629 0.359

Peak list (10 most intense, 2θ = 15–90°, sorted by position)
2θ (°), d (Å), Rel. int.
25.65, 3.473, 100.0
32.75, 2.734, 39.6
42.06, 2.148, 25.1
48.80, 1.866, 42.6
54.31, 1.689, 24.5
57.53, 1.602, 9.9
58.46, 1.579, 14.3
74.60, 1.272, 9.7
77.36, 1.234, 8.7
79.53, 1.205, 9.3